Diffraction record for RbHo2Cl7. The X-ray powder pattern is calculated, not measured: it uses a crystal structure in the Materials Project, relaxed with GGA-PBE and Cu Kα, 1.54184 Å.
Lines closer than 0.1° are merged.

Structure:
Cell lengths 13.4249, 6.9884, 12.6562 Å; angles 90.00, 90.00, 90.00 degrees
Space group Pnma (No. 62)
Symmetry-distinct sites (fractional):
1 Rb 0.0415 0.2500 0.1957 (multiplicity 4)
2 Ho 0.2371 0.2500 0.5398 (multiplicity 4)
3 Ho 0.2499 0.2500 0.8427 (multiplicity 4)
4 Cl 0.1094 0.7500 0.1882 (multiplicity 4)
5 Cl 0.1225 0.0105 0.4224 (multiplicity 8)
6 Cl 0.1339 0.0095 0.9603 (multiplicity 8)
7 Cl 0.1754 0.0109 0.6932 (multiplicity 8)

Most intense lines, 15 to 90 degrees two-theta, by intensity:
- 19.63 deg, d 4.522, rel. 100
- 25.53 deg, d 3.489, rel. 77
- 37.14 deg, d 2.421, rel. 43
- 38.99 deg, d 2.310, rel. 40
- 34.72 deg, d 2.584, rel. 35
- 31.84 deg, d 2.811, rel. 34